# Ac2MnSeO6
Calculated powder X-ray diffraction pattern, λ = 1.5418 Å (Cu Kα). Input: a cell relaxed with PBE+U.

Atomic structure:
Cell: 5.778 5.778 4.334 Å, 90.00 90.00 90.00°
Positions (direct):
Ac1 0.000 0.500 0.000
Ac2 0.500 0.000 0.000
Mn1 0.000 0.000 0.449
Se1 0.500 0.500 0.416
O1 0.000 0.000 0.928
O2 0.258 0.258 0.382
O3 0.258 0.742 0.382
O4 0.500 0.500 0.993
O5 0.742 0.258 0.382
O6 0.742 0.742 0.382

Top 12 peaks for 2θ = 10–90°, most intense first:
| Position (°2θ) | intensity | h k l |
| --- | --- | --- |
| 30.1 | 100 | 1 1 1 |
| 31.0 | 48 | 2 0 0 |
| 54.5 | 39 | 3 1 1 |
| 37.4 | 31 | 2 0 1 |
| 44.3 | 27 | 2 2 0 |
| 21.8 | 27 | 1 1 0 |
| 52.8 | 22 | 2 0 2 |
| 20.5 | 22 | 0 0 1 |
| 62.5 | 15 | 2 2 2 |
| 73.3 | 13 | 4 2 0 |
| 47.5 | 13 | 1 1 2 |
| 41.7 | 13 | 0 0 2 |